No. 1
Starting from a PBE+U-relaxed structure, the powder X-ray diffraction pattern of Li7Mn2Co3O12 was calculated for λ = 1.5418 Å (Cu Kα).
Intensities are scaled so that the largest is 100.

Main lines, by intensity (10 to 90 degrees two-theta):
2θ 18.35, intensity 100, hkl 0 1 1; 2θ 42.72, intensity 30, hkl 1 2 -1; 2θ 43.98, intensity 28, hkl -2 1 1; 2θ 44.16, intensity 27, hkl 1 1 4; 2θ 62.88, intensity 16, hkl 2 3 3; 2θ 35.39, intensity 15, hkl 1 1 -2

Crystal structure
```
data_Li7Mn2Co3O12
_space_group_name_H-M_alt 'P 1'
_space_group_IT_number 1
_cell_length_a 5.041
_cell_length_b 5.165
_cell_length_c 8.734
_cell_angle_alpha 73.65
_cell_angle_beta 85.43
_cell_angle_gamma 79.59
loop_
_space_group_symop_operation_xyz
'x,y,z'
loop_
_atom_site_label
_atom_site_fract_x
_atom_site_fract_y
_atom_site_fract_z
Li1 0.000 0.000 0.000
Li2 0.000 0.331 0.682
Li3 0.002 0.660 0.347
Li4 0.242 0.746 0.761
Li5 0.474 0.494 0.522
Li6 0.483 0.158 0.847
Li7 0.492 0.829 0.176
Mn1 0.743 0.246 0.262
Mn2 0.745 0.905 0.598
Co1 0.241 0.068 0.434
Co2 0.242 0.421 0.087
Co3 0.734 0.593 0.923
O1 0.093 0.717 0.554
O2 0.106 0.051 0.237
O3 0.110 0.375 0.904
O4 0.379 0.112 0.618
O5 0.383 0.770 0.973
O6 0.388 0.440 0.293
O7 0.614 0.904 0.389
O8 0.627 0.213 0.065
O9 0.634 0.569 0.711
O10 0.850 0.948 0.793
O11 0.866 0.586 0.151
O12 0.867 0.252 0.468
```

No. 2
Starting from a PBE+U-relaxed structure, the powder X-ray diffraction pattern of Li7Mn2Co3O12 was calculated for λ = 1.5418 Å (Cu Kα).
Intensities are scaled so that the largest is 100.

Main lines, by intensity (10 to 90 degrees two-theta):
2θ 18.34, intensity 100, hkl 1 0 0; 2θ 43.11, intensity 30, hkl -2 2 1; 2θ 43.78, intensity 28, hkl 1 2 -2; 2θ 44.03, intensity 27, hkl 1 0 3; 2θ 62.95, intensity 16, hkl 3 0 -3; 2θ 63.33, intensity 15, hkl 1 -4 1

Crystal structure
```
data_Li7Mn2Co3O12
_space_group_name_H-M_alt 'P -1'
_space_group_IT_number 2
_cell_length_a 5.148
_cell_length_b 5.876
_cell_length_c 7.664
_cell_angle_alpha 100.43
_cell_angle_beta 96.58
_cell_angle_gamma 107.27
loop_
_space_group_symop_operation_xyz
'x,y,z'
'-x,-y,-z'
loop_
_atom_site_label
_atom_site_fract_x
_atom_site_fract_y
_atom_site_fract_z
Li1 0.000 0.000 0.000
Li2 0.490 0.408 0.160
Li3 0.494 0.084 0.841
Li4 0.500 0.247 0.501
Mn1 0.004 0.334 0.332
Co1 0.000 0.500 0.000
Co2 0.005 0.163 0.680
O1 0.218 0.460 0.575
O2 0.222 0.938 0.583
O3 0.225 0.768 0.906
O4 0.232 0.141 0.264
O5 0.232 0.614 0.254
O6 0.235 0.291 0.903
```

No. 3
Starting from a PBE+U-relaxed structure, the powder X-ray diffraction pattern of Li3MnCoO5 was calculated for λ = 1.5418 Å (Cu Kα).
Intensities are scaled so that the largest is 100.

Main lines, by intensity (10 to 90 degrees two-theta):
2θ 18.39, intensity 100, hkl 0 1 1; 2θ 43.22, intensity 31, hkl 1 -2 0; 2θ 43.50, intensity 29, hkl 0 0 5; 2θ 44.36, intensity 28, hkl 1 2 -1; 2θ 35.80, intensity 27, hkl 0 1 -4; 2θ 36.64, intensity 12, hkl 1 1 -2

Crystal structure
```
data_Li3MnCoO5
_space_group_name_H-M_alt 'P -1'
_space_group_IT_number 2
_cell_length_a 2.895
_cell_length_b 5.910
_cell_length_c 10.584
_cell_angle_alpha 97.69
_cell_angle_beta 97.13
_cell_angle_gamma 91.41
loop_
_space_group_symop_operation_xyz
'x,y,z'
'-x,-y,-z'
loop_
_atom_site_label
_atom_site_fract_x
_atom_site_fract_y
_atom_site_fract_z
Li1 0.000 0.000 0.000
Li2 0.000 0.500 0.000
Li3 0.199 0.101 0.397
Li4 0.411 0.712 0.819
Mn1 0.412 0.199 0.811
Co1 0.190 0.598 0.398
O1 0.083 0.576 0.201
O2 0.102 0.022 0.201
O3 0.285 0.635 0.598
O4 0.331 0.169 0.611
O5 0.494 0.246 0.985
```

No. 4
Starting from a PBE+U-relaxed structure, the powder X-ray diffraction pattern of Li7Mn4CoO12 was calculated for λ = 1.5418 Å (Cu Kα).
Intensities are scaled so that the largest is 100.

Main lines, by intensity (10 to 90 degrees two-theta):
2θ 18.39, intensity 100, hkl 1 1 0; 2θ 41.35, intensity 33, hkl 2 -1 1; 2θ 44.41, intensity 27, hkl 1 1 -4; 2θ 44.67, intensity 27, hkl 1 4 3; 2θ 34.47, intensity 15, hkl 1 -2 1; 2θ 36.37, intensity 12, hkl 0 0 4

Crystal structure
```
data_Li7Mn4CoO12
_space_group_name_H-M_alt 'P -1'
_space_group_IT_number 2
_cell_length_a 5.237
_cell_length_b 8.664
_cell_length_c 10.371
_cell_angle_alpha 72.40
_cell_angle_beta 84.12
_cell_angle_gamma 75.33
loop_
_space_group_symop_operation_xyz
'x,y,z'
'-x,-y,-z'
loop_
_atom_site_label
_atom_site_fract_x
_atom_site_fract_y
_atom_site_fract_z
Li1 0.044 0.469 0.377
Li2 0.120 0.377 0.124
Li3 0.243 0.752 0.250
Li4 0.245 0.271 0.878
Li5 0.256 0.225 0.625
Li6 0.383 0.122 0.376
Li7 0.455 0.032 0.125
Mn1 0.083 0.921 0.752
Mn2 0.170 0.830 0.497
Mn3 0.321 0.670 0.003
Mn4 0.416 0.578 0.750
Co1 0.000 0.000 0.000
Co2 0.500 0.500 0.500
O1 0.059 0.729 0.690
O2 0.066 0.170 0.071
O3 0.113 0.655 0.442
O4 0.146 0.089 0.818
O5 0.233 0.004 0.572
O6 0.240 0.545 0.187
O7 0.259 0.956 0.313
O8 0.270 0.491 0.929
O9 0.357 0.856 0.055
O10 0.359 0.409 0.682
O11 0.439 0.331 0.429
O12 0.440 0.769 0.812
```

No. 5
Starting from a PBE+U-relaxed structure, the powder X-ray diffraction pattern of Li7Mn2Co3O12 was calculated for λ = 1.5418 Å (Cu Kα).
Intensities are scaled so that the largest is 100.

Main lines, by intensity (10 to 90 degrees two-theta):
2θ 18.37, intensity 100, hkl 0 1 -1; 2θ 41.41, intensity 34, hkl 1 0 3; 2θ 44.55, intensity 27, hkl 1 0 -3; 2θ 44.78, intensity 26, hkl 0 4 2; 2θ 36.71, intensity 23, hkl -1 1 2; 2θ 34.51, intensity 18, hkl 1 1 2

Crystal structure
```
data_Li7Mn2Co3O12
_space_group_name_H-M_alt 'P 1'
_space_group_IT_number 1
_cell_length_a 2.977
_cell_length_b 8.098
_cell_length_c 9.792
_cell_angle_alpha 66.25
_cell_angle_beta 85.96
_cell_angle_gamma 89.04
loop_
_space_group_symop_operation_xyz
'x,y,z'
loop_
_atom_site_label
_atom_site_fract_x
_atom_site_fract_y
_atom_site_fract_z
Li1 0.000 0.000 0.000
Li2 0.001 0.656 0.667
Li3 0.009 0.486 0.009
Li4 0.484 0.822 0.832
Li5 0.486 0.177 0.161
Li6 0.505 0.490 0.508
Li7 0.979 0.333 0.322
Mn1 0.486 0.659 0.162
Mn2 0.486 0.995 0.500
Co1 0.502 0.336 0.839
Co2 0.974 0.833 0.328
Co3 0.996 0.163 0.669
O1 0.013 0.737 0.020
O2 0.023 0.923 0.668
O3 0.026 0.252 0.985
O4 0.454 0.898 0.176
O5 0.460 0.232 0.510
O6 0.490 0.557 0.826
O7 0.498 0.429 0.169
O8 0.512 0.758 0.488
O9 0.526 0.104 0.824
O10 0.958 0.066 0.337
O11 0.961 0.601 0.312
O12 0.972 0.396 0.674
```

No. 6
Starting from a PBE+U-relaxed structure, the powder X-ray diffraction pattern of Li7Mn2Co3O12 was calculated for λ = 1.5418 Å (Cu Kα).
Intensities are scaled so that the largest is 100.

Main lines, by intensity (10 to 90 degrees two-theta):
2θ 18.37, intensity 100, hkl 0 0 2; 2θ 43.55, intensity 87, hkl 3 1 -4; 2θ 35.93, intensity 40, hkl 6 0 -2; 2θ 63.12, intensity 15, hkl 3 1 4; 2θ 63.46, intensity 15, hkl 9 1 -4; 2θ 57.46, intensity 14, hkl 3 1 -6

Crystal structure
```
data_Li7Mn2Co3O12
_space_group_name_H-M_alt 'C 1 2/m 1'
_space_group_IT_number 12
_cell_length_a 15.245
_cell_length_b 2.926
_cell_length_c 11.812
_cell_angle_alpha 90.00
_cell_angle_beta 125.14
_cell_angle_gamma 90.00
loop_
_space_group_symop_operation_xyz
'x,y,z'
'-x,-y,-z'
'-x,y,-z'
'x,-y,z'
'x+1/2,y+1/2,z'
'-x+1/2,-y+1/2,-z'
'-x+1/2,y+1/2,-z'
'x+1/2,-y+1/2,z'
loop_
_atom_site_label
_atom_site_fract_x
_atom_site_fract_y
_atom_site_fract_z
Li1 0.000 0.000 0.000
Li2 0.000 0.000 0.245
Li3 0.159 0.500 0.245
Li4 0.167 0.500 0.746
Mn1 0.161 0.500 0.997
Co1 0.000 0.000 0.500
Co2 0.166 0.500 0.500
O1 0.002 0.500 0.385
O2 0.016 0.500 0.883
O3 0.166 0.000 0.616
O4 0.168 0.000 0.384
O5 0.169 0.000 0.111
O6 0.175 0.000 0.894
```

No. 7
Starting from a PBE+U-relaxed structure, the powder X-ray diffraction pattern of Li6Mn3CoP6O24 was calculated for λ = 1.5418 Å (Cu Kα).
Intensities are scaled so that the largest is 100.

Main lines, by intensity (10 to 90 degrees two-theta):
2θ 24.14, intensity 100, hkl 2 1 0; 2θ 20.82, intensity 78, hkl 1 2 1; 2θ 23.89, intensity 75, hkl 1 2 0; 2θ 33.21, intensity 39, hkl 1 3 2; 2θ 20.30, intensity 38, hkl 1 0 -1; 2θ 35.21, intensity 38, hkl 1 -2 1

Crystal structure
```
data_Li6Mn3CoP6O24
_space_group_name_H-M_alt 'P 1'
_space_group_IT_number 1
_cell_length_a 8.507
_cell_length_b 8.535
_cell_length_c 8.555
_cell_angle_alpha 62.53
_cell_angle_beta 61.64
_cell_angle_gamma 61.86
loop_
_space_group_symop_operation_xyz
'x,y,z'
loop_
_atom_site_label
_atom_site_fract_x
_atom_site_fract_y
_atom_site_fract_z
Li1 0.000 0.000 0.000
Li2 0.125 0.901 0.491
Li3 0.283 0.623 0.851
Li4 0.439 0.369 0.194
Li5 0.610 0.813 0.568
Li6 0.767 0.158 0.349
Mn1 0.130 0.511 0.704
Mn2 0.423 0.791 0.995
Mn3 0.917 0.294 0.482
Co1 0.629 0.006 0.192
P1 0.031 0.701 0.308
P2 0.224 0.204 0.089
P3 0.308 0.114 0.587
P4 0.527 0.594 0.402
P5 0.739 0.402 0.880
P6 0.823 0.895 0.798
O1 0.021 0.732 0.782
O2 0.036 0.207 0.257
O3 0.085 0.687 0.466
O4 0.151 0.126 0.535
O5 0.191 0.727 0.109
O6 0.204 0.392 0.927
O7 0.255 0.287 0.640
O8 0.263 0.040 0.031
O9 0.340 0.924 0.742
O10 0.355 0.590 0.591
O11 0.383 0.186 0.140
O12 0.471 0.622 0.243
O13 0.499 0.109 0.423
O14 0.538 0.556 0.909
O15 0.579 0.755 0.378
O16 0.657 0.836 0.841
O17 0.687 0.402 0.422
O18 0.729 0.242 0.069
O19 0.774 0.343 0.721
O20 0.804 0.956 0.949
O21 0.848 0.036 0.601
O22 0.864 0.888 0.289
O23 0.892 0.475 0.841
O24 0.994 0.529 0.344
```

No. 8
Starting from a PBE+U-relaxed structure, the powder X-ray diffraction pattern of Li5Mn3Co2P6O24 was calculated for λ = 1.5418 Å (Cu Kα).
Intensities are scaled so that the largest is 100.

Main lines, by intensity (10 to 90 degrees two-theta):
2θ 20.13, intensity 100, hkl 0 1 -2; 2θ 23.13, intensity 69, hkl 0 1 1; 2θ 35.22, intensity 64, hkl 1 -1 3; 2θ 24.56, intensity 62, hkl 1 -2 2; 2θ 24.36, intensity 56, hkl 2 0 -1; 2θ 31.89, intensity 48, hkl -1 2 1

Crystal structure
```
data_Li5Mn3Co2P6O24
_space_group_name_H-M_alt 'P 1'
_space_group_IT_number 1
_cell_length_a 8.308
_cell_length_b 8.478
_cell_length_c 8.815
_cell_angle_alpha 118.55
_cell_angle_beta 91.92
_cell_angle_gamma 116.85
loop_
_space_group_symop_operation_xyz
'x,y,z'
loop_
_atom_site_label
_atom_site_fract_x
_atom_site_fract_y
_atom_site_fract_z
Li1 0.000 0.000 0.000
Li2 0.020 0.820 0.163
Li3 0.098 0.626 0.460
Li4 0.182 0.169 0.508
Li5 0.676 0.676 0.193
Mn1 0.219 0.450 0.984
Mn2 0.503 0.856 0.688
Mn3 0.716 0.435 0.482
Co1 0.369 0.149 0.833
Co2 0.848 0.131 0.315
P1 0.107 0.652 0.783
P2 0.303 0.362 0.293
P3 0.421 0.955 0.385
P4 0.605 0.646 0.877
P5 0.810 0.351 0.079
P6 0.907 0.927 0.580
O1 0.047 0.777 0.931
O2 0.115 0.105 0.717
O3 0.115 0.178 0.278
O4 0.169 0.527 0.822
O5 0.259 0.817 0.745
O6 0.259 0.984 0.356
O7 0.279 0.308 0.090
O8 0.315 0.568 0.428
O9 0.396 0.747 0.234
O10 0.441 0.984 0.578
O11 0.457 0.480 0.918
O12 0.480 0.362 0.344
O13 0.514 0.741 0.823
O14 0.610 0.175 0.933
O15 0.617 0.133 0.401
O16 0.663 0.522 0.727
O17 0.756 0.938 0.671
O18 0.766 0.832 0.063
O19 0.826 0.319 0.240
O20 0.839 0.565 0.144
O21 0.889 0.712 0.512
O22 0.891 0.961 0.422
O23 0.954 0.473 0.586
O24 0.969 0.325 0.002
```